# Tl4CoCl7
Calculated X-ray powder pattern, Cu Kα. Input: a DFT-relaxed cell (PBE, Alexandria).
Lines closer than 0.1° are merged.

Top 8 peaks for 15° ≤ 2θ ≤ 90°, low angle first:
two_theta	d (Å)	I_rel
21.21	4.189	648
21.59	4.116	725
23.60	3.770	841
25.49	3.495	1000
27.19	3.279	354
34.38	2.608	332
37.85	2.377	349
45.11	2.010	431

Cell and atoms:
a = 17.2698 Å, b = 4.6073 Å, c = 12.6765 Å
α = 90.00°, β = 126.52°, γ = 90.00°
Space group C2/m (No. 12)
Symmetry-distinct sites (fractional):
Tl  0.1054  0.0000  0.3623 [4 per cell]
Tl  0.2291  0.5000  0.8279 [4 per cell]
Co  0.0000  0.5000  0.0000 [2 per cell]
Cl  0.0000  0.0000  0.0000 [2 per cell]
Cl  0.1181  0.0000  0.8294 [4 per cell]
Cl  0.1357  0.5000  0.1938 [4 per cell]
Cl  0.1635  0.5000  0.5458 [4 per cell]